Starting from a crystal structure in Alexandria, relaxed with PBE, the X-ray diffraction stick pattern of Ac2NdCd5 was calculated for Cu Kα (λ = 1.5418 Å).
Lines closer than 0.1° are merged.

Peak list (10 most intense, 10° ≤ 2θ ≤ 90°, by angle)
25.82 deg, I 10.3, (1 1 2); 32.44 deg, I 100.0, (1 1 4); 33.10 deg, I 53.2, (2 0 0); 45.54 deg, I 6.7, (0 0 8); 47.51 deg, I 19.2, (2 2 0); 57.44 deg, I 13.4, (2 0 8); 58.71 deg, I 36.1, (3 1 4); 67.92 deg, I 8.0, (2 2 8); 78.77 deg, I 8.0, (3 3 4); 79.13 deg, I 8.5, (4 2 0)

Structural model:
```
data_Ac2NdCd5
_cell_length_a 5.4128
_cell_length_b 5.4128
_cell_length_c 15.9358
_cell_angle_alpha 90.00
_cell_angle_beta 90.00
_cell_angle_gamma 90.00
_space_group_name_H-M_alt 'I 4/m m m'
_space_group_IT_number 139
_space_group_name_Hall '-I 4 2'
loop_
_atom_site_label
_atom_site_type_symbol
_atom_site_fract_x
_atom_site_fract_y
_atom_site_fract_z
Ac1 Ac 0.0000 0.0000 0.2358
Nd1 Nd 0.0000 0.0000 0.5000
Cd1 Cd 0.0000 0.0000 0.0000
Cd2 Cd 0.0000 0.5000 0.1090
```